Entry 1:
Structure and computed powder diffractogram of Li6Fe3SnP6O24 (a structure optimized by DFT (GGA+U); Cu Ka).
Peak positions follow from Bragg's law for the DFT cell and can differ from measured ones.

Principal peaks in the range 2θ = 15–90°, sorted by position:
4.442 Å, rel. 95; 4.322 Å, rel. 100; 4.291 Å, rel. 48; 3.756 Å, rel. 63; 3.742 Å, rel. 63; 3.726 Å, rel. 63; 3.086 Å, rel. 46; 2.880 Å, rel. 37; 2.565 Å, rel. 71; 1.679 Å, rel. 44

Structure:
```
Li6Fe3SnP6O24
1.0
8.588 0.000 0.000
4.053 7.638 0.000
4.057 2.482 7.233
Li Fe Sn P O
6 3 1 6 24
Cartesian
0.000 0.000 0.000
6.633 8.440 3.576
4.951 4.358 2.521
6.884 6.446 1.010
10.582 6.951 5.816
10.781 3.827 4.593
8.286 7.388 7.215
9.133 7.876 2.040
8.609 2.435 3.613
13.467 5.348 5.739
2.590 2.350 1.452
5.470 2.040 4.937
8.029 5.646 4.263
6.868 2.828 0.756
13.838 8.752 6.490
12.294 6.784 2.881
1.578 2.225 0.272
4.559 6.211 1.714
4.565 3.328 5.203
3.612 3.457 1.243
6.521 5.290 4.549
3.192 0.921 1.581
9.571 8.929 6.299
8.784 8.914 3.821
8.663 6.453 5.398
7.927 6.475 2.949
6.221 4.241 0.648
6.894 2.387 4.521
5.866 1.703 1.001
8.873 4.367 4.097
8.841 6.761 0.382
7.937 2.852 1.834
10.821 7.017 2.550
11.546 5.035 6.541
9.787 2.055 5.256
13.259 7.343 6.092
12.988 8.069 3.349
12.302 5.649 4.006
10.498 2.636 2.821
15.300 8.673 6.941
```

=====

Entry 2:
Structure and computed powder diffractogram of Li3Ti3FeP6O24 (a structure optimized by DFT (GGA+U); Cu Ka).
Peak positions follow from Bragg's law for the DFT cell and can differ from measured ones.

Principal peaks in the range 2θ = 15–90°, sorted by position:
4.370 Å, rel. 42; 4.355 Å, rel. 33; 4.335 Å, rel. 23; 3.742 Å, rel. 23; 3.718 Å, rel. 100; 3.697 Å, rel. 25; 3.097 Å, rel. 19; 3.082 Å, rel. 18; 3.069 Å, rel. 18; 2.520 Å, rel. 15

Structure:
```
Li3Ti3FeP6O24
1.0
8.670 0.000 0.000
-4.322 7.553 0.000
-0.037 -4.997 7.158
Li Ti Fe P O
3 3 1 6 24
Cartesian
0.000 0.000 0.000
7.978 -0.920 3.010
-1.591 2.885 2.341
1.262 1.475 2.464
0.640 6.150 0.394
5.384 -1.145 5.963
-3.693 3.661 4.045
-2.528 5.752 1.591
-1.277 1.398 4.717
-0.074 -2.108 6.803
1.778 4.709 3.214
3.068 1.065 5.288
4.377 1.802 1.161
-2.577 4.884 2.853
0.677 -2.715 5.618
0.945 -0.482 1.817
-1.960 2.751 4.472
-0.512 1.079 3.371
0.061 1.872 0.853
-1.059 6.093 1.315
-0.283 1.524 5.881
0.586 4.231 0.045
1.138 3.333 2.873
2.086 1.002 4.090
2.869 1.594 1.529
5.056 0.450 0.899
1.651 5.720 2.053
3.772 -0.293 5.357
2.346 1.346 6.628
5.350 -2.311 4.442
4.367 -2.372 7.020
3.297 4.624 3.473
4.064 2.236 5.149
5.105 2.501 2.308
5.485 5.106 0.359
6.452 0.203 4.920
7.080 -1.951 6.566
```